This entry pairs a crystal structure of MgAlTc3 with its simulated powder diffractogram. Radiation: a wavelength of 1.5418 Å. Structure: a cell relaxed with PBE.

Top 10 peaks for 2θ from 10° to 80°, in order of falling intensity:
two_theta, Rel. int., hkl
34.50, 100, 1 1 1
40.05, 69, 2 0 0
57.93, 45, 2 2 0
69.20, 37, 3 1 1
19.72, 37, 1 0 0
45.02, 16, 2 1 0
72.76, 15, 2 2 2
61.82, 8, 3 0 0
28.03, 7, 1 1 0
76.25, 3, 3 2 0

Crystal structure
Cell lengths 4.5025, 4.5025, 4.5025 Å; angles 90.00, 90.00, 90.00 degrees
Space group Pm-3m (No. 221)
Unique sites:
Mg (0.0000, 0.0000, 0.0000)
Al (0.5000, 0.5000, 0.5000)
Tc (0.0000, 0.5000, 0.5000)